Structure and theoretical X-ray diffraction stick pattern of PrZn11 (the GGA-PBE geometry in the Materials Project; Cu Kα).
Peak positions follow from Bragg's law for the DFT cell and can differ from measured ones.

Largest 10 diffraction maxima, in order of falling intensity, 10 to 90 degrees two-theta:
| d_spacing | intensity |
| --- | --- |
| 2.405 | 100.0 |
| 2.387 | 74.1 |
| 2.038 | 56.2 |
| 2.718 | 40.2 |
| 2.234 | 33.0 |
| 1.959 | 31.5 |
| 1.382 | 30.8 |
| 2.061 | 16.6 |
| 2.106 | 15.2 |
| 1.193 | 14.9 |

Cell and atoms:
Unit cell a=8.2897 b=8.2897 c=8.2897 alpha=99.84 beta=99.84 gamma=131.16
Sites, in units of the cell vectors:
Pr 0.3750 0.6250 0.7500
Pr 0.6250 0.3750 0.2500
Zn 0.0000 0.0000 0.0000
Zn 0.0000 0.0000 0.5000
Zn 0.0000 0.5000 0.0000
Zn 0.1250 0.8750 0.2500
Zn 0.1333 0.5557 0.3343
Zn 0.1333 0.7990 0.5776
Zn 0.2010 0.2786 0.3343
Zn 0.2010 0.8667 0.9224
Zn 0.2786 0.2010 0.8343
Zn 0.2786 0.4443 0.0776
Zn 0.4443 0.2786 0.5776
Zn 0.4443 0.8667 0.1657
Zn 0.5000 0.0000 0.5000
Zn 0.5557 0.1333 0.8343
Zn 0.5557 0.7214 0.4224
Zn 0.7214 0.5557 0.9224
Zn 0.7214 0.7990 0.1657
Zn 0.7990 0.1333 0.0776
Zn 0.7990 0.7214 0.6657
Zn 0.8667 0.2010 0.4224
Zn 0.8667 0.4443 0.6657
Zn 0.8750 0.1250 0.7500